# Li3FeF6
Simulated X-ray diffraction stick pattern, CuKα. Input: DFT lattice parameters and positions (GGA+U).

Principal peaks in the range 2θ = 10–80°, sorted by position:
18.79 deg, intensity 75, (0 0 2); 19.97 deg, intensity 81, (1 0 0); 27.55 deg, intensity 79, (1 0 2); 39.97 deg, intensity 100, (1 1 2); 52.67 deg, intensity 54, (1 1 4); 62.66 deg, intensity 37, (3 0 0)

Structural model:
abc: 5.1351 5.1351 9.4434
angles: 90.00 90.00 120.00
Space group P-31c (No. 163)
Inequivalent atoms, fractional coordinates:
1 Li 0.3333 0.6667 0.0408 [4 per cell]
2 Li 0.3333 0.6667 0.7500 [2 per cell]
3 Fe 0.0000 0.0000 0.0000 [2 per cell]
4 F 0.0298 0.3381 0.8895 [12 per cell]